Computed X-ray powder pattern
Compound: Ba2Mn5O10
Radiation: Cu Kα (weighted mean of Kα1 and Kα2)
Structure: a cell relaxed with GGA+U

Cell and atoms:
```
data_Ba2Mn5O10
_chemical_formula_sum 'Ba4 Mn10 O20'
_cell_length_a 13.1963
_cell_length_b 3.2836
_cell_length_c 9.9935
_cell_angle_alpha 90.00
_cell_angle_beta 91.51
_cell_angle_gamma 90.00
_space_group_name_H-M_alt 'C 1 2/m 1'
_space_group_IT_number 12
loop_
_space_group_symop_operation_xyz
'x,y,z'
'-x,-y,-z'
'-x,y,-z'
'x,-y,z'
'x+1/2,y+1/2,z'
'-x+1/2,-y+1/2,-z'
'-x+1/2,y+1/2,-z'
'x+1/2,-y+1/2,z'
loop_
_atom_site_label
_atom_site_type_symbol
_atom_site_fract_x
_atom_site_fract_y
_atom_site_fract_z
Ba1 Ba 0.2411 0.0000 0.1924
Mn1 Mn 0.0000 0.0000 0.0000
Mn2 Mn 0.0055 0.5000 0.7386
Mn3 Mn 0.1502 0.0000 0.4990
O1 O 0.0616 0.0000 0.3428
O2 O 0.0817 0.5000 0.1025
O3 O 0.0877 0.0000 0.8481
O4 O 0.1037 0.5000 0.6019
O5 O 0.2252 0.5000 0.3952
```

Main lines, by angle (2θ from 10° to 90°):
- 27.0°, I = 667, hkl 4 0 0
- 29.4°, I = 666, hkl 1 1 -1
- 29.5°, I = 602, hkl 1 1 1
- 29.7°, I = 684, hkl 2 0 -3
- 30.4°, I = 661, hkl 2 0 3
- 32.1°, I = 646, hkl 4 0 -2
- 33.3°, I = 931, hkl 1 1 -2
- 35.4°, I = 860, hkl 3 1 1
- 38.9°, I = 1000, hkl 3 1 2
- 50.8°, I = 505, hkl 3 1 4